Diffraction record for SnN2F6. The PXRD pattern is simulated, not measured: it uses a GGA-PBE-relaxed structure and a wavelength of 1.5418 Å.

Cell: 8.0904 8.0904 8.0904 Å, 90.00 90.00 90.00°
Space group Fm-3m (No. 225)
One atom of each set of equivalent atoms:
Sn (0.0000, 0.0000, 0.0000)
N (0.2500, 0.2500, 0.2500)
F (0.0000, 0.0000, 0.2473)

The 6 most intense peaks (10° ≤ 2θ ≤ 80°), low angle first:
2θ = 19.00°, I = 100, hkl 1 1 1; 2θ = 21.97°, I = 62, hkl 2 0 0; 2θ = 31.27°, I = 35, hkl 2 2 0; 2θ = 36.85°, I = 55, hkl 3 1 1; 2θ = 44.81°, I = 36, hkl 4 0 0; 2θ = 50.45°, I = 28, hkl 4 2 0

Diffraction record for RuS2. The PXRD pattern is simulated, not measured: it uses a GGA-PBE-relaxed structure and a wavelength of 1.5418 Å.

Cell: 5.6558 5.6558 5.6558 Å, 90.00 90.00 90.00°
Space group Pa-3 (No. 205)
One atom of each set of equivalent atoms:
Ru (0.0000, 0.0000, 0.0000)
S (0.1128, 0.6128, 0.8872)

The 6 most intense peaks (10° ≤ 2θ ≤ 80°), low angle first:
2θ = 27.31°, I = 82, hkl 1 1 1; 2θ = 31.64°, I = 100, hkl 2 0 0; 2θ = 45.35°, I = 61, hkl 2 2 0; 2θ = 53.75°, I = 100, hkl 3 1 1; 2θ = 72.90°, I = 21, hkl 3 3 1; 2θ = 75.12°, I = 21, hkl 4 2 0

Please write out number 2 again, unchanged.
Diffraction record for RuS2. The PXRD pattern is simulated, not measured: it uses a GGA-PBE-relaxed structure and a wavelength of 1.5418 Å.

Cell: 5.6558 5.6558 5.6558 Å, 90.00 90.00 90.00°
Space group Pa-3 (No. 205)
One atom of each set of equivalent atoms:
Ru (0.0000, 0.0000, 0.0000)
S (0.1128, 0.6128, 0.8872)

The 6 most intense peaks (10° ≤ 2θ ≤ 80°), low angle first:
2θ = 27.31°, I = 82, hkl 1 1 1; 2θ = 31.64°, I = 100, hkl 2 0 0; 2θ = 45.35°, I = 61, hkl 2 2 0; 2θ = 53.75°, I = 100, hkl 3 1 1; 2θ = 72.90°, I = 21, hkl 3 3 1; 2θ = 75.12°, I = 21, hkl 4 2 0

Q: What is the formula in the second record?
A: RuS2